# 1
Diffraction record for K2Ta2O3F6. The X-ray diffraction stick pattern is theoretical, not measured: it uses a structure optimized by DFT (GGA-PBE) and Cu Ka.

Peak list (8 most intense, 2θ from 10° to 90°, in order of rising 2θ)
index, 2theta, intensity
1 0 1, 10.9, 36.8
0 1 1, 17.4, 37.4
1 1 1, 19.6, 46.4
2 0 2, 22.0, 44.1
1 1 2, 22.5, 37.8
2 1 1, 25.1, 36.0
1 1 3, 26.6, 100.0
3 1 1, 32.3, 49.8

Crystal structure
Cell lengths 9.917, 5.466, 14.031 Å; angles 90.00, 90.00, 90.00 degrees
Space group Pnma (No. 62)
Asymmetric unit:
K1 0.065 0.250 0.096 (multiplicity 4)
K2 0.236 0.750 0.293 (multiplicity 4)
Ta1 0.065 0.750 0.656 (multiplicity 4)
Ta2 0.226 0.250 0.505 (multiplicity 4)
O1 0.114 0.250 0.394 (multiplicity 4)
O2 0.132 0.502 0.572 (multiplicity 8)
F1 0.014 0.001 0.750 (multiplicity 8)
F2 0.133 0.750 0.106 (multiplicity 4)
F3 0.156 0.502 0.943 (multiplicity 8)
F4 0.241 0.750 0.724 (multiplicity 4)


# 2
Diffraction record for K3OsF7. The X-ray diffraction stick pattern is theoretical, not measured: it uses a structure optimized by DFT (GGA-PBE) and Cu Ka.

Peak list (8 most intense, 2θ from 10° to 90°, in order of rising 2θ)
index, 2theta, intensity
0 0 1, 16.5, 50.6
1 1 0, 17.2, 100.0
1 1 -1, 18.2, 67.1
2 0 0, 26.2, 39.3
0 2 1, 28.0, 90.7
2 0 -2, 28.8, 45.6
2 2 1, 44.9, 35.2
2 2 -3, 48.2, 28.4

Crystal structure
Cell lengths 8.138, 7.891, 6.447 Å; angles 90.00, 123.43, 90.00 degrees
Space group Cm (No. 8)
Asymmetric unit:
K1 0.000 0.000 0.000 (multiplicity 2)
K2 0.007 0.263 0.489 (multiplicity 4)
Os1 0.463 0.000 0.962 (multiplicity 2)
F1 0.137 0.500 0.831 (multiplicity 2)
F2 0.146 0.330 0.213 (multiplicity 4)
F3 0.166 0.000 0.738 (multiplicity 2)
F4 0.359 0.000 0.188 (multiplicity 2)
F5 0.377 0.221 0.765 (multiplicity 4)


# 3
Diffraction record for K2PaF7. The X-ray diffraction stick pattern is theoretical, not measured: it uses a structure optimized by DFT (GGA-PBE) and Cu Ka.

Peak list (8 most intense, 2θ from 10° to 90°, in order of rising 2θ)
index, 2theta, intensity
1 1 0, 15.9, 100.0
2 0 0, 16.4, 40.3
2 0 -2, 22.2, 20.8
0 2 0, 27.5, 42.7
0 0 2, 27.6, 67.4
3 1 0, 28.4, 40.9
0 2 2, 39.4, 26.7
3 3 -2, 48.6, 20.4

Crystal structure
Cell lengths 13.355, 6.488, 7.996 Å; angles 90.00, 126.18, 90.00 degrees
Space group C2/c (No. 15)
Asymmetric unit:
K1 0.174 0.006 0.240 (multiplicity 8)
Pa1 0.000 0.479 0.750 (multiplicity 4)
F1 0.000 0.139 0.750 (multiplicity 4)
F2 0.080 0.359 0.074 (multiplicity 8)
F3 0.118 0.266 0.444 (multiplicity 8)
F4 0.184 0.383 0.860 (multiplicity 8)


# 4
Diffraction record for KZr2PdF11. The X-ray diffraction stick pattern is theoretical, not measured: it uses a structure optimized by DFT (GGA-PBE) and Cu Ka.

Peak list (8 most intense, 2θ from 10° to 90°, in order of rising 2θ)
index, 2theta, intensity
1 0 1, 18.7, 48.3
1 1 0, 22.3, 95.6
1 -1 0, 26.0, 72.4
1 0 2, 27.1, 100.0
1 0 -2, 33.7, 40.0
2 0 0, 34.5, 26.3
2 -1 2, 46.5, 40.1
1 1 4, 48.4, 26.0

Crystal structure
Cell lengths 5.459, 5.471, 7.551 Å; angles 74.20, 74.23, 77.76 degrees
Space group P-1 (No. 2)
Asymmetric unit:
K1 0.000 0.000 0.000 (multiplicity 1)
Zr1 0.453 0.454 0.250 (multiplicity 2)
Pd1 0.000 0.000 0.500 (multiplicity 1)
F1 0.117 0.687 0.348 (multiplicity 2)
F2 0.211 0.212 0.244 (multiplicity 2)
F3 0.307 0.296 0.842 (multiplicity 2)
F4 0.314 0.881 0.652 (multiplicity 2)
F5 0.330 0.662 0.000 (multiplicity 2)
F6 0.500 0.500 0.500 (multiplicity 1)


# 5
Diffraction record for KZrPdF7. The X-ray diffraction stick pattern is theoretical, not measured: it uses a structure optimized by DFT (GGA-PBE) and Cu Ka.

Peak list (8 most intense, 2θ from 10° to 90°, in order of rising 2θ)
index, 2theta, intensity
1 0 1, 16.4, 61.7
0 2 0, 23.1, 60.4
3 0 1, 27.8, 100.0
1 2 1, 28.5, 77.9
0 0 2, 29.1, 37.6
2 2 2, 40.8, 28.7
4 2 2, 49.9, 40.9
3 4 1, 55.7, 35.6

Crystal structure
Cell lengths 11.280, 7.697, 6.147 Å; angles 90.00, 90.00, 90.00 degrees
Space group Pnna (No. 52)
Asymmetric unit:
K1 0.250 0.000 0.225 (multiplicity 4)
Zr1 0.093 0.250 0.750 (multiplicity 4)
Pd1 0.095 0.750 0.750 (multiplicity 4)
F1 0.051 0.154 0.439 (multiplicity 8)
F2 0.084 0.750 0.250 (multiplicity 4)
F3 0.106 0.010 0.889 (multiplicity 8)
F4 0.248 0.193 0.563 (multiplicity 8)


# 6
Diffraction record for K2PrF6. The X-ray diffraction stick pattern is theoretical, not measured: it uses a structure optimized by DFT (GGA-PBE) and Cu Ka.

Peak list (8 most intense, 2θ from 10° to 90°, in order of rising 2θ)
index, 2theta, intensity
1 0 1, 20.2, 100.0
0 0 2, 21.7, 29.6
1 0 2, 27.7, 35.3
1 1 0, 29.7, 76.7
1 1 2, 37.1, 53.5
2 0 2, 41.0, 69.0
2 1 1, 47.5, 29.1
3 0 2, 57.7, 28.8

Crystal structure
Cell lengths 6.0205, 6.0205, 8.1893 Å; angles 90.00, 90.00, 120.00 degrees
Space group P6_3mc (No. 186)
Asymmetric unit:
K1 0.0000 0.0000 0.0000 (multiplicity 2)
K2 0.3333 0.6667 0.2639 (multiplicity 2)
Pr1 0.3333 0.6667 0.7986 (multiplicity 2)
F1 0.0093 0.5046 0.0081 (multiplicity 6)
F2 0.1304 0.2608 0.7472 (multiplicity 6)


# 7
Diffraction record for K2PtF6. The X-ray diffraction stick pattern is theoretical, not measured: it uses a structure optimized by DFT (GGA-PBE) and Cu Ka.

Peak list (8 most intense, 2θ from 10° to 90°, in order of rising 2θ)
index, 2theta, intensity
0 0 2, 20.0, 28.9
1 0 1, 21.1, 100.0
1 0 2, 27.4, 27.6
1 1 0, 32.4, 40.9
1 0 3, 35.6, 37.2
1 1 2, 38.3, 32.2
2 0 2, 42.9, 22.4
2 0 3, 48.9, 24.1

Crystal structure
Cell lengths 5.5312, 5.5312, 8.8890 Å; angles 90.00, 90.00, 120.00 degrees
Space group P6_3mc (No. 186)
Asymmetric unit:
K1 0.0000 0.0000 0.0000 (multiplicity 2)
K2 0.3333 0.6667 0.2363 (multiplicity 2)
Pt1 0.3333 0.6667 0.8559 (multiplicity 2)
F1 0.0002 0.5001 0.4827 (multiplicity 6)
F2 0.1616 0.3231 0.7373 (multiplicity 6)


# 8
Diffraction record for KPuF4. The X-ray diffraction stick pattern is theoretical, not measured: it uses a structure optimized by DFT (GGA-PBE) and Cu Ka.

Peak list (8 most intense, 2θ from 10° to 90°, in order of rising 2θ)
index, 2theta, intensity
0 0 1, 11.0, 93.6
0 1 1, 18.9, 64.0
1 0 1, 24.6, 36.8
1 1 0, 26.9, 98.5
0 1 2, 27.0, 99.2
1 1 1, 29.1, 33.0
1 0 2, 31.3, 34.8
2 0 0, 44.6, 100.0

Crystal structure
Cell lengths 4.056, 5.775, 8.050 Å; angles 90.00, 90.00, 90.00 degrees
Space group Pmmn (No. 59, origin choice 2)
Asymmetric unit:
K1 0.250 0.250 0.114 (multiplicity 2)
Pu1 0.250 0.250 0.629 (multiplicity 2)
F1 0.250 0.012 0.843 (multiplicity 4)
F2 0.250 0.518 0.396 (multiplicity 4)